Structure and calculated powder diffractogram of Cs2CrSe2O6 (a PBE+U-relaxed structure; CuKα).
Kinematic intensities with the Lorentz-polarization factor, no thermal factor.

Atomic structure:
a b c (Å): 7.5142 7.5142 7.5142
angles (deg): 46.72 46.72 46.72
Fractional positions:
Cs 0.2145 0.2145 0.2145
Cs 0.7855 0.7855 0.7855
Cr 0.0000 0.0000 0.0000
Se 0.4103 0.4103 0.4103
Se 0.5897 0.5897 0.5897
O 0.2199 0.2199 0.7431
O 0.2199 0.7431 0.2199
O 0.2569 0.7801 0.7801
O 0.7431 0.2199 0.2199
O 0.7801 0.2569 0.7801
O 0.7801 0.7801 0.2569

Main lines, by intensity (2θ from 10° to 80°):
| Position (°2θ) | Rel. int. |
| --- | --- |
| 28.19 | 1000 |
| 29.99 | 788 |
| 52.15 | 361 |
| 41.62 | 233 |
| 53.27 | 225 |
| 62.33 | 165 |
| 35.92 | 146 |
| 69.76 | 139 |
| 51.21 | 118 |
| 48.74 | 118 |